[1]
Structure and computed PXRD pattern of Be4SbO7 (a cell relaxed with PBE; Cu Kα).
Lines closer than 0.1° are merged.

Top 11 peaks for 2θ = 5–70°, by angle:
2θ (°), I_rel
19.91, 100
23.03, 86
32.80, 39
38.67, 80
40.46, 1
47.07, 27
51.58, 30
53.03, 33
58.55, 15
62.49, 23
68.76, 22

Crystal structure
Lattice parameters (Å, degrees): 5.461 5.461 5.461 60.00 60.00 60.00
Sites, in units of the cell vectors:
Be: 0.376 0.376 0.376
Be: 0.376 0.376 0.871
Be: 0.376 0.871 0.376
Be: 0.871 0.376 0.376
Sb: 0.750 0.750 0.750
O: 0.009 0.009 0.491
O: 0.009 0.491 0.009
O: 0.009 0.491 0.491
O: 0.491 0.009 0.009
O: 0.491 0.009 0.491
O: 0.491 0.491 0.009
O: 0.500 0.500 0.500

---

[2]
Structure and computed PXRD pattern of Sr2BeSbO6 (a cell relaxed with PBE; Cu Kα).
Lines closer than 0.1° are merged.

Top 12 peaks for 2θ = 5–70°, by angle:
2θ (°), I_rel
18.46, 15
25.75, 100
32.26, 58
40.79, 31
41.73, 55
52.94, 25
53.71, 26
55.30, 6
57.53, 11
63.36, 20
65.49, 16
67.52, 13

Crystal structure
Lattice parameters (Å, degrees): 5.549 5.549 4.984 90.00 90.00 120.00
Sites, in units of the cell vectors:
Sr: 0.333 0.667 0.166
Sr: 0.667 0.333 0.834
Be: 0.000 0.000 0.000
Sb: 0.000 0.000 0.500
O: 0.155 0.310 0.767
O: 0.155 0.845 0.767
O: 0.310 0.155 0.233
O: 0.690 0.845 0.767
O: 0.845 0.155 0.233
O: 0.845 0.690 0.233

---

[3]
Structure and computed PXRD pattern of ScBe3O (a cell relaxed with PBE; Cu Kα).
Lines closer than 0.1° are merged.

Top 7 peaks for 2θ = 5–70°, by angle:
2θ (°), I_rel
23.16, 17
32.99, 100
40.70, 25
47.35, 33
53.35, 8
58.92, 29
69.21, 19

Crystal structure
Lattice parameters (Å, degrees): 3.840 3.840 3.840 90.00 90.00 90.00
Sites, in units of the cell vectors:
Sc: 0.000 0.000 0.000
Be: 0.000 0.500 0.500
Be: 0.500 0.000 0.500
Be: 0.500 0.500 0.000
O: 0.500 0.500 0.500

---

[4]
Structure and computed PXRD pattern of SrBe4Se3O12 (a cell relaxed with PBE; Cu Kα).
Lines closer than 0.1° are merged.

Top 12 peaks for 2θ = 5–70°, by angle:
2θ (°), I_rel
17.64, 28
23.41, 100
29.46, 21
30.80, 96
35.72, 27
39.04, 14
44.12, 39
47.87, 16
50.54, 23
51.40, 22
60.36, 20
61.13, 16

Crystal structure
Lattice parameters (Å, degrees): 6.360 6.360 6.360 104.48 104.48 104.48
Sites, in units of the cell vectors:
Sr: 0.000 0.000 0.000
Be: 0.067 0.500 0.933
Be: 0.500 0.500 0.500
Be: 0.500 0.933 0.067
Be: 0.933 0.067 0.500
Se: 0.000 0.553 0.447
Se: 0.447 0.000 0.553
Se: 0.553 0.447 0.000
O: 0.021 0.620 0.751
O: 0.087 0.913 0.500
O: 0.249 0.380 0.979
O: 0.345 0.655 0.500
O: 0.380 0.979 0.249
O: 0.500 0.087 0.913
O: 0.500 0.345 0.655
O: 0.620 0.751 0.021
O: 0.655 0.500 0.345
O: 0.751 0.021 0.620
O: 0.913 0.500 0.087
O: 0.979 0.249 0.380

---

[5]
Structure and computed PXRD pattern of Be2SiO4 (a cell relaxed with PBE; Cu Kα).
Lines closer than 0.1° are merged.

Top 12 peaks for 2θ = 5–70°, by angle:
2θ (°), I_rel
14.09, 44
22.91, 23
24.13, 69
24.53, 33
28.40, 100
35.41, 74
37.87, 51
40.99, 66
43.18, 43
54.95, 21
61.05, 23
67.64, 19

Crystal structure
Lattice parameters (Å, degrees): 7.769 7.769 7.769 108.02 108.02 108.02
Sites, in units of the cell vectors:
Be: 0.101 0.873 0.279
Be: 0.127 0.721 0.899
Be: 0.206 0.610 0.431
Be: 0.279 0.101 0.873
Be: 0.390 0.569 0.794
Be: 0.431 0.206 0.610
Be: 0.569 0.794 0.390
Be: 0.610 0.431 0.206
Be: 0.721 0.899 0.127
Be: 0.794 0.390 0.569
Be: 0.873 0.279 0.101
Be: 0.899 0.127 0.721
Si: 0.054 0.234 0.461
Si: 0.234 0.461 0.054
Si: 0.461 0.054 0.234
Si: 0.539 0.946 0.766
Si: 0.766 0.539 0.946
Si: 0.946 0.766 0.539
O: 0.003 0.706 0.038
O: 0.038 0.003 0.706
O: 0.040 0.371 0.337
O: 0.084 0.749 0.416
O: 0.251 0.584 0.916
O: 0.294 0.329 0.624
O: 0.294 0.962 0.997
O: 0.329 0.624 0.294
O: 0.337 0.040 0.371
O: 0.371 0.337 0.040
O: 0.376 0.706 0.671
O: 0.416 0.084 0.749
O: 0.584 0.916 0.251
O: 0.624 0.294 0.329
O: 0.629 0.663 0.960
O: 0.663 0.960 0.629
O: 0.671 0.376 0.706
O: 0.706 0.038 0.003
O: 0.706 0.671 0.376
O: 0.749 0.416 0.084
O: 0.916 0.251 0.584
O: 0.960 0.629 0.663
O: 0.962 0.997 0.294
O: 0.997 0.294 0.962

---

[6]
Structure and computed PXRD pattern of Be4Si2O9 (a cell relaxed with PBE; Cu Kα).
Lines closer than 0.1° are merged.

Top 12 peaks for 2θ = 5–70°, by angle:
2θ (°), I_rel
11.57, 13
19.53, 63
20.39, 100
22.11, 30
22.25, 12
27.43, 73
30.25, 11
35.20, 14
38.70, 33
38.96, 25
41.47, 17
44.37, 36

Crystal structure
Lattice parameters (Å, degrees): 9.100 9.100 4.653 90.00 90.00 122.81
Sites, in units of the cell vectors:
Be: 0.103 0.534 0.001
Be: 0.133 0.226 0.000
Be: 0.226 0.133 0.500
Be: 0.466 0.897 0.001
Be: 0.534 0.103 0.501
Be: 0.774 0.867 0.000
Be: 0.867 0.774 0.500
Be: 0.897 0.466 0.501
Si: 0.200 0.437 0.499
Si: 0.437 0.200 0.999
Si: 0.563 0.800 0.499
Si: 0.800 0.563 0.999
O: 0.055 0.945 0.565
O: 0.066 0.481 0.657
O: 0.146 0.396 0.157
O: 0.184 0.268 0.658
O: 0.268 0.184 0.158
O: 0.277 0.723 0.066
O: 0.396 0.146 0.657
O: 0.402 0.598 0.540
O: 0.481 0.066 0.157
O: 0.519 0.934 0.657
O: 0.598 0.402 0.040
O: 0.604 0.854 0.157
O: 0.723 0.277 0.566
O: 0.732 0.816 0.658
O: 0.816 0.732 0.158
O: 0.854 0.604 0.657
O: 0.934 0.519 0.157
O: 0.945 0.055 0.065

---

[7]
Structure and computed PXRD pattern of BeSiO (a cell relaxed with PBE; Cu Kα).
Lines closer than 0.1° are merged.

Top 12 peaks for 2θ = 5–70°, by angle:
2θ (°), I_rel
9.27, 17
18.60, 1
28.05, 12
37.71, 52
38.73, 100
39.91, 64
43.29, 13
47.65, 4
48.50, 11
55.16, 65
63.01, 20
68.87, 2

Crystal structure
Lattice parameters (Å, degrees): 2.685 2.685 9.543 90.00 90.00 120.00
Sites, in units of the cell vectors:
Be: 0.000 0.000 0.000
Be: 0.333 0.667 0.231
Si: 0.333 0.667 0.481
Si: 0.333 0.667 0.735
O: 0.000 0.000 0.175
O: 0.333 0.667 0.945

---

[8]
Structure and computed PXRD pattern of Tb2Be2SiO7 (a cell relaxed with PBE; Cu Kα).
Lines closer than 0.1° are merged.

Top 12 peaks for 2θ = 5–70°, by angle:
2θ (°), I_rel
18.46, 52
25.23, 25
27.10, 51
30.60, 28
32.99, 100
38.69, 17
43.20, 19
46.81, 42
51.18, 12
54.90, 32
56.40, 19
64.72, 15

Crystal structure
Lattice parameters (Å, degrees): 7.359 7.359 4.806 90.00 90.00 90.00
Sites, in units of the cell vectors:
Tb: 0.159 0.341 0.008
Tb: 0.341 0.841 0.992
Tb: 0.659 0.159 0.992
Tb: 0.841 0.659 0.008
Be: 0.136 0.636 0.540
Be: 0.364 0.136 0.460
Be: 0.636 0.864 0.460
Be: 0.864 0.364 0.540
Si: 0.000 0.000 0.500
Si: 0.500 0.500 0.500
O: 0.000 0.500 0.681
O: 0.081 0.837 0.699
O: 0.141 0.641 0.209
O: 0.163 0.081 0.301
O: 0.337 0.581 0.699
O: 0.359 0.141 0.791
O: 0.419 0.337 0.301
O: 0.500 0.000 0.319
O: 0.581 0.663 0.301
O: 0.641 0.859 0.791
O: 0.663 0.419 0.699
O: 0.837 0.919 0.301
O: 0.859 0.359 0.209
O: 0.919 0.163 0.699

---

[9]
Structure and computed PXRD pattern of Tm2Be2SiO7 (a cell relaxed with PBE; Cu Kα).
Lines closer than 0.1° are merged.

Top 12 peaks for 2θ = 5–70°, by angle:
2θ (°), I_rel
18.69, 56
25.55, 26
27.45, 53
31.00, 26
33.42, 100
39.21, 17
43.77, 19
47.43, 42
54.06, 12
55.66, 32
57.19, 19
65.61, 15

Crystal structure
Lattice parameters (Å, degrees): 7.265 7.265 4.748 90.00 90.00 90.00
Sites, in units of the cell vectors:
Tm: 0.158 0.342 0.009
Tm: 0.342 0.842 0.991
Tm: 0.658 0.158 0.991
Tm: 0.842 0.658 0.009
Be: 0.137 0.637 0.542
Be: 0.363 0.137 0.458
Be: 0.637 0.863 0.458
Be: 0.863 0.363 0.542
Si: 0.000 0.000 0.500
Si: 0.500 0.500 0.500
O: 0.000 0.500 0.687
O: 0.084 0.838 0.704
O: 0.142 0.642 0.207
O: 0.162 0.084 0.296
O: 0.338 0.584 0.704
O: 0.358 0.142 0.793
O: 0.416 0.338 0.296
O: 0.500 0.000 0.313
O: 0.584 0.662 0.296
O: 0.642 0.858 0.793
O: 0.662 0.416 0.704
O: 0.838 0.916 0.296
O: 0.858 0.358 0.207
O: 0.916 0.162 0.704

---

Question: Number 3 is which compound?
Answer: ScBe3O